Starting from a crystal structure in Alexandria, relaxed with PBE, the powder diffractogram of Cs3Li2ErI9 was calculated for λ = 1.5418 Å (Cu Kα).
Kinematic intensities with the Lorentz-polarization factor, no thermal factor.

Atomic structure:
Cell: 8.4514 8.4514 10.4988 Å, 90.00 90.00 120.00°
Sites, in units of the cell vectors:
Cs1 0.0000 0.0000 0.0000
Cs2 0.3333 0.6667 0.6746
Cs3 0.6667 0.3333 0.3254
Li1 0.3333 0.6667 0.1401
Li2 0.6667 0.3333 0.8599
Er1 0.0000 0.0000 0.5000
I1 0.0000 0.5000 0.0000
I2 0.1673 0.3346 0.3348
I3 0.1673 0.8327 0.3348
I4 0.3346 0.1673 0.6652
I5 0.5000 0.0000 0.0000
I6 0.5000 0.5000 0.0000
I7 0.6654 0.8327 0.3348
I8 0.8327 0.1673 0.6652
I9 0.8327 0.6654 0.6652

Main lines, most intense first (10 to 90 degrees two-theta):
- 29.76 deg, d = 3.002 Å, rel. 1000
- 25.78 deg, d = 3.456 Å, rel. 919
- 42.38 deg, d = 2.133 Å, rel. 373
- 42.80 deg, d = 2.113 Å, rel. 363
- 25.45 deg, d = 3.500 Å, rel. 311
- 50.46 deg, d = 1.809 Å, rel. 278


Starting from a crystal structure in Alexandria, relaxed with PBE, the powder diffractogram of Cs2LiErI6 was calculated for λ = 1.5418 Å (Cu Kα).
Kinematic intensities with the Lorentz-polarization factor, no thermal factor.

Atomic structure:
Cell: 15.0115 15.0115 15.0115 Å, 32.95 32.95 32.95°
Sites, in units of the cell vectors:
Cs1 0.1218 0.1218 0.1218
Cs2 0.2918 0.2918 0.2918
Cs3 0.7082 0.7082 0.7082
Cs4 0.8782 0.8782 0.8782
Li1 0.0000 0.0000 0.0000
Li2 0.5000 0.5000 0.5000
Er1 0.4152 0.4152 0.4152
Er2 0.5848 0.5848 0.5848
I1 0.1304 0.6207 0.6207
I2 0.2074 0.2074 0.7083
I3 0.2074 0.7083 0.2074
I4 0.2917 0.7926 0.7926
I5 0.3793 0.3793 0.8696
I6 0.3793 0.8696 0.3793
I7 0.6207 0.1304 0.6207
I8 0.6207 0.6207 0.1304
I9 0.7083 0.2074 0.2074
I10 0.7926 0.2917 0.7926
I11 0.7926 0.7926 0.2917
I12 0.8696 0.3793 0.3793

Main lines, most intense first (10 to 90 degrees two-theta):
- 28.31 deg, d = 3.152 Å, rel. 1000
- 26.34 deg, d = 3.383 Å, rel. 687
- 42.47 deg, d = 2.129 Å, rel. 504
- 43.71 deg, d = 2.071 Å, rel. 384
- 25.11 deg, d = 3.546 Å, rel. 350
- 49.97 deg, d = 1.825 Å, rel. 309


Starting from a crystal structure in Alexandria, relaxed with PBE, the powder diffractogram of CsErPuI6 was calculated for λ = 1.5418 Å (Cu Kα).
Kinematic intensities with the Lorentz-polarization factor, no thermal factor.

Atomic structure:
Cell: 8.0086 8.0086 8.7546 Å, 90.00 90.00 120.00°
Sites, in units of the cell vectors:
Cs1 0.0000 0.0000 0.0000
Er1 0.6667 0.3333 0.5000
Pu1 0.3333 0.6667 0.5000
I1 0.3744 0.0164 0.7051
I2 0.3744 0.3580 0.2949
I3 0.6420 0.0164 0.2949
I4 0.6420 0.6256 0.7051
I5 0.9836 0.3580 0.7051
I6 0.9836 0.6256 0.2949

Main lines, most intense first (10 to 90 degrees two-theta):
- 30.25 deg, d = 2.955 Å, rel. 1000
- 24.44 deg, d = 3.641 Å, rel. 825
- 16.30 deg, d = 5.436 Å, rel. 697
- 10.10 deg, d = 8.755 Å, rel. 588
- 38.96 deg, d = 2.312 Å, rel. 432
- 38.16 deg, d = 2.358 Å, rel. 306


Starting from a crystal structure in Alexandria, relaxed with PBE, the powder diffractogram of CsSr2ErI8 was calculated for λ = 1.5418 Å (Cu Kα).
Kinematic intensities with the Lorentz-polarization factor, no thermal factor.

Atomic structure:
Cell: 7.4826 7.7949 10.3041 Å, 89.95 89.91 89.48°
Sites, in units of the cell vectors:
Cs1 0.0000 0.0000 0.0000
Sr1 0.4999 0.5001 0.2529
Sr2 0.5001 0.4999 0.7471
Er1 0.0000 0.0000 0.5000
I1 0.2382 0.8428 0.7022
I2 0.2392 0.8439 0.2974
I3 0.2452 0.3225 0.5003
I4 0.2612 0.3947 0.0004
I5 0.7388 0.6053 0.9996
I6 0.7548 0.6775 0.4997
I7 0.7608 0.1561 0.7026
I8 0.7618 0.1572 0.2978

Main lines, most intense first (10 to 90 degrees two-theta):
- 23.93 deg, d = 3.719 Å, rel. 1000
- 31.79 deg, d = 2.815 Å, rel. 754
- 23.81 deg, d = 3.737 Å, rel. 744
- 38.81 deg, d = 2.320 Å, rel. 699
- 31.63 deg, d = 2.829 Å, rel. 649
- 25.68 deg, d = 3.470 Å, rel. 597


Starting from a crystal structure in Alexandria, relaxed with PBE, the powder diffractogram of CsLiErTe2 was calculated for λ = 1.5418 Å (Cu Kα).
Kinematic intensities with the Lorentz-polarization factor, no thermal factor.

Atomic structure:
Cell: 8.9132 8.9132 6.9852 Å, 90.00 90.00 135.31°
Sites, in units of the cell vectors:
Cs1 0.2500 0.7500 0.7603
Cs2 0.7500 0.2500 0.2397
Li1 0.0000 0.0000 0.0000
Li2 0.5000 0.5000 0.0000
Er1 0.2500 0.2500 0.5000
Er2 0.7500 0.7500 0.5000
Te1 0.1135 0.8865 0.2664
Te2 0.3865 0.6135 0.2664
Te3 0.6135 0.3865 0.7336
Te4 0.8865 0.1135 0.7336

Main lines, most intense first (10 to 90 degrees two-theta):
- 24.44 deg, d = 3.642 Å, rel. 1000
- 36.96 deg, d = 2.432 Å, rel. 418
- 16.63 deg, d = 5.329 Å, rel. 315
- 12.67 deg, d = 6.985 Å, rel. 303
- 44.33 deg, d = 2.043 Å, rel. 240
- 27.74 deg, d = 3.216 Å, rel. 222